[1]
This entry pairs a crystal structure of Na4Al3Si3O12 with its simulated powder diffractogram. Radiation: copper Kα. Structure: a structure optimized by DFT (GGA-PBE).

Crystal structure
```
data_Na4Al3Si3O12
_cell_length_a 8.9714
_cell_length_b 8.9714
_cell_length_c 8.9714
_cell_angle_alpha 90.00
_cell_angle_beta 90.00
_cell_angle_gamma 90.00
_symmetry_space_group_name_H-M 'P -4 3 n'
_symmetry_Int_Tables_number 218
_symmetry_space_group_name_Hall 'P -4n 2 3'
loop_
_atom_site_label
_atom_site_fract_x
_atom_site_fract_y
_atom_site_fract_z
Na1 0.1778 0.1778 0.1778
Al1 0.0000 0.2500 0.5000
Si1 0.0000 0.5000 0.2500
O1 0.0630 0.3608 0.6494
```

Peak list (6 most intense, 2θ = 10–80°, low angle first)
| 2theta | Rel. int. |
| --- | --- |
| 13.96 | 100 |
| 24.30 | 72 |
| 31.54 | 26 |
| 34.64 | 31 |
| 42.76 | 32 |
| 60.14 | 13 |


[2]
This entry pairs a crystal structure of Na2Al2Si3O10 with its simulated powder diffractogram. Radiation: copper Kα. Structure: a structure optimized by DFT (GGA-PBE).

Crystal structure
```
data_Na2Al2Si3O10
_cell_length_a 16.2552
_cell_length_b 6.4876
_cell_length_c 11.6768
_cell_angle_alpha 90.00
_cell_angle_beta 133.68
_cell_angle_gamma 90.00
_symmetry_space_group_name_H-M 'C 1 2 1'
_symmetry_Int_Tables_number 5
loop_
_symmetry_equiv_pos_as_xyz
'x,y,z'
'-x,y,-z'
'x+1/2,y+1/2,z'
'-x+1/2,y+1/2,-z'
loop_
_atom_site_label
_atom_site_fract_x
_atom_site_fract_y
_atom_site_fract_z
Na1 0.1214 0.0000 0.3634
Na2 0.2474 0.2938 0.8616
Al1 0.0955 0.5220 0.2202
Al2 0.1310 0.7700 0.7156
Si1 0.0000 0.1532 0.5000
Si2 0.0000 0.9061 0.0000
Si3 0.0926 0.5257 0.4622
Si4 0.1277 0.2792 0.0264
O1 0.0034 0.7150 0.3521
O2 0.0324 0.2936 0.4171
O3 0.0461 0.4488 0.8889
O4 0.0644 0.0469 0.9627
O5 0.0973 0.7725 0.1601
O6 0.1132 0.0234 0.6447
O7 0.1536 0.3383 0.1842
O8 0.1586 0.5630 0.6464
O9 0.1744 0.5166 0.4266
O10 0.2496 0.2605 0.0749
```

Peak list (6 most intense, 2θ = 10–80°, low angle first)
| 2theta | Rel. int. |
| --- | --- |
| 15.19 | 76 |
| 22.01 | 77 |
| 29.50 | 87 |
| 29.65 | 88 |
| 30.33 | 89 |
| 31.23 | 100 |